Simulated PXRD pattern
Compound: IrCl3
Radiation: CuKα
Structure: a PBE-relaxed structure

Top 8 peaks for 10 to 90 degrees two-theta, in order of falling intensity:
- hkl 1 0 0, 10.58 deg, rel. 100
- hkl 1 1 0, 18.37 deg, rel. 78
- hkl 2 1 1, 38.93 deg, rel. 36
- hkl 3 1 1, 47.47 deg, rel. 33
- hkl 2 0 1, 34.02 deg, rel. 33
- hkl 2 0 0, 21.24 deg, rel. 25
- hkl 1 0 1, 28.38 deg, rel. 13
- hkl 3 1 0, 38.82 deg, rel. 11

Structure:
```
data_IrCl3
_space_group_name_H-M_alt 'P 63/m m c'
_space_group_IT_number 194
_space_group_name_Hall '-P 6c 2c'
_cell_length_a 9.6589
_cell_length_b 9.6589
_cell_length_c 3.3933
_cell_angle_alpha 90.00
_cell_angle_beta 90.00
_cell_angle_gamma 120.00
loop_
_atom_site_label
_atom_site_fract_x
_atom_site_fract_y
_atom_site_fract_z
_atom_site_occupancy
Ir1 0.3333 0.6667 0.2500 1
Cl1 0.2310 0.4620 0.7500 1
```